(1)
Diffraction record for CdCu9Ge3. The PXRD pattern is theoretical, not measured: it uses a DFT-relaxed cell (GGA-PBE, Alexandria) and Cu Ka.
Peak positions follow from Bragg's law for the DFT cell and can differ from measured ones.

Main lines, low angle first (2θ = 15–90°):
- 2θ = 21.37°, I 37
- 2θ = 40.70°, I 100
- 2θ = 43.18°, I 84
- 2θ = 43.52°, I 77
- 2θ = 43.78°, I 80
- 2θ = 46.52°, I 65
- 2θ = 48.53°, I 59
- 2θ = 54.25°, I 39

Structural model:
Cell lengths 5.028, 5.325, 7.517 Å; angles 86.48, 89.15, 81.75 degrees
Fractional coordinates of all 13 atoms:
Cd 0.000 0.000 0.000
Cu 0.000 0.500 0.500
Cu 0.245 0.738 0.739
Cu 0.264 0.262 0.249
Cu 0.297 0.237 0.757
Cu 0.500 0.000 0.500
Cu 0.500 0.500 0.000
Cu 0.703 0.763 0.243
Cu 0.736 0.738 0.751
Cu 0.755 0.262 0.261
Ge 0.000 0.000 0.500
Ge 0.000 0.500 0.000
Ge 0.500 0.500 0.500

---

(2)
Diffraction record for MnCdCu4Ge2Se8. The PXRD pattern is theoretical, not measured: it uses a DFT-relaxed cell (GGA-PBE, Alexandria) and Cu Ka.
Peak positions follow from Bragg's law for the DFT cell and can differ from measured ones.

Main lines, low angle first (2θ = 15–90°):
- 2θ = 25.41°, I 100
- 2θ = 25.68°, I 52
- 2θ = 26.84°, I 86
- 2θ = 28.80°, I 68
- 2θ = 44.62°, I 44
- 2θ = 45.11°, I 80
- 2θ = 48.63°, I 85
- 2θ = 53.27°, I 46

Structural model:
Cell lengths 6.644, 8.123, 6.938 Å; angles 90.00, 90.04, 90.00 degrees
Fractional coordinates of all 16 atoms:
Mn 0.000 0.000 0.000
Cd 0.505 0.500 0.685
Cu 0.005 0.246 0.510
Cu 0.005 0.754 0.510
Cu 0.510 0.243 0.164
Cu 0.510 0.757 0.164
Ge 0.005 0.500 0.012
Ge 0.500 0.000 0.669
Se 0.371 0.234 0.491
Se 0.371 0.500 0.047
Se 0.371 0.766 0.491
Se 0.383 0.000 0.002
Se 0.869 0.000 0.658
Se 0.874 0.256 0.180
Se 0.874 0.744 0.180
Se 0.909 0.500 0.673

---

(3)
Diffraction record for CdCuH6Ir2. The PXRD pattern is theoretical, not measured: it uses a DFT-relaxed cell (GGA-PBE, Alexandria) and Cu Ka.
Peak positions follow from Bragg's law for the DFT cell and can differ from measured ones.

Main lines, low angle first (2θ = 15–90°):
- 2θ = 21.33°, I 66
- 2θ = 30.28°, I 63
- 2θ = 35.75°, I 45
- 2θ = 37.47°, I 54
- 2θ = 39.07°, I 100
- 2θ = 39.43°, I 78
- 2θ = 42.62°, I 77
- 2θ = 60.70°, I 37

Structural model:
Cell lengths 6.604, 6.604, 4.698 Å; angles 102.34, 102.34, 99.04 degrees
Fractional coordinates of all 20 atoms:
Cd 0.120 0.880 0.750
Cd 0.880 0.120 0.250
Cu 0.293 0.707 0.250
Cu 0.707 0.293 0.750
H 0.017 0.438 0.632
H 0.261 0.330 0.255
H 0.307 0.522 0.932
H 0.330 0.261 0.755
H 0.438 0.017 0.132
H 0.478 0.693 0.568
H 0.522 0.307 0.432
H 0.562 0.983 0.868
H 0.670 0.739 0.245
H 0.693 0.478 0.068
H 0.739 0.670 0.745
H 0.983 0.562 0.368
Ir 0.112 0.321 0.879
Ir 0.321 0.112 0.379
Ir 0.679 0.888 0.621
Ir 0.888 0.679 0.121

---

(4)
Diffraction record for Sr2CdCuH6. The PXRD pattern is theoretical, not measured: it uses a DFT-relaxed cell (GGA-PBE, Alexandria) and Cu Ka.
Peak positions follow from Bragg's law for the DFT cell and can differ from measured ones.

Main lines, low angle first (2θ = 15–90°):
- 2θ = 31.70°, I 26
- 2θ = 31.97°, I 100
- 2θ = 32.20°, I 25
- 2θ = 45.73°, I 9
- 2θ = 45.88°, I 19
- 2θ = 56.58°, I 9
- 2θ = 57.18°, I 18
- 2θ = 76.07°, I 12

Structural model:
Cell lengths 5.595, 5.595, 5.560 Å; angles 119.68, 119.68, 90.03 degrees
Fractional coordinates of all 10 atoms:
Sr 0.248 0.752 0.000
Sr 0.752 0.248 0.000
Cd 0.500 0.500 0.500
Cu 0.000 0.000 0.500
H 0.221 0.221 0.493
H 0.222 0.222 0.948
H 0.224 0.776 0.500
H 0.776 0.224 0.500
H 0.778 0.778 0.052
H 0.779 0.779 0.507